Entry 1:
Simulated powder XRD pattern
Compound: TmZnTe
Radiation: λ = 1.5418 Å (Cu Kα)
Structure: a DFT-relaxed cell (GGA-PBE, OQMD)

Main lines, by angle (2θ = 10–80°):
21.9 deg, rel. 56
36.2 deg, rel. 100
42.7 deg, rel. 30
52.1 deg, rel. 17
57.2 deg, rel. 13
65.1 deg, rel. 35

Cell and atoms:
```
data_TmZnTe
_space_group_name_H-M_alt 'F -4 3 m'
_space_group_IT_number 216
_space_group_name_Hall 'F -4 2 3'
_cell_length_a 7.018
_cell_length_b 7.018
_cell_length_c 7.018
_cell_angle_alpha 90.00
_cell_angle_beta 90.00
_cell_angle_gamma 90.00
loop_
_atom_site_label
_atom_site_fract_x
_atom_site_fract_y
_atom_site_fract_z
Tm1 0.000 0.000 0.000
Zn1 0.250 0.250 0.250
Te1 0.250 0.250 0.750
```

=====

Entry 2:
Simulated powder XRD pattern
Compound: TmZr2Te4
Radiation: λ = 1.5418 Å (Cu Kα)
Structure: a DFT-relaxed cell (GGA-PBE, OQMD)

Main lines, by angle (2θ = 10–80°):
24.4 deg, rel. 100
32.1 deg, rel. 13
39.8 deg, rel. 25
40.8 deg, rel. 44
47.2 deg, rel. 28
64.9 deg, rel. 13

Cell and atoms:
```
data_TmZr2Te4
_space_group_name_H-M_alt 'I -4'
_space_group_IT_number 82
_cell_length_a 6.412
_cell_length_b 6.412
_cell_length_c 12.226
_cell_angle_alpha 90.00
_cell_angle_beta 90.00
_cell_angle_gamma 90.00
loop_
_space_group_symop_operation_xyz
'x,y,z'
'y,-x,-z'
'-x,-y,z'
'-y,x,-z'
'x+1/2,y+1/2,z+1/2'
'y+1/2,-x+1/2,-z+1/2'
'-x+1/2,-y+1/2,z+1/2'
'-y+1/2,x+1/2,-z+1/2'
loop_
_atom_site_label
_atom_site_fract_x
_atom_site_fract_y
_atom_site_fract_z
Tm1 0.000 0.000 0.000
Zr1 0.000 0.000 0.500
Zr2 0.000 0.500 0.750
Te1 0.215 0.270 0.357
```

=====

Entry 3:
Simulated powder XRD pattern
Compound: U3Te5
Radiation: λ = 1.5418 Å (Cu Kα)
Structure: a DFT-relaxed cell (GGA-PBE, OQMD)

Main lines, by angle (2θ = 10–80°):
22.9 deg, rel. 40
30.8 deg, rel. 42
32.7 deg, rel. 100
34.0 deg, rel. 47
41.2 deg, rel. 37
41.4 deg, rel. 44

Cell and atoms:
```
data_U3Te5
_space_group_name_H-M_alt 'P n m a'
_space_group_IT_number 62
_cell_length_a 13.197
_cell_length_b 8.762
_cell_length_c 8.297
_cell_angle_alpha 90.00
_cell_angle_beta 90.00
_cell_angle_gamma 90.00
loop_
_space_group_symop_operation_xyz
'x,y,z'
'-x,-y,-z'
'-x+1/2,-y,z+1/2'
'x+1/2,y,-z+1/2'
'x+1/2,-y+1/2,-z+1/2'
'-x+1/2,y+1/2,z+1/2'
'-x,y+1/2,-z'
'x,-y+1/2,z'
loop_
_atom_site_label
_atom_site_fract_x
_atom_site_fract_y
_atom_site_fract_z
U1 0.005 0.250 0.083
U2 0.181 0.503 0.522
Te1 0.001 0.250 0.465
Te2 0.100 0.550 0.169
Te3 0.181 0.250 0.827
Te4 0.219 0.750 0.799
```

=====

Entry 4:
Simulated powder XRD pattern
Compound: UTe5
Radiation: λ = 1.5418 Å (Cu Kα)
Structure: a DFT-relaxed cell (GGA-PBE, OQMD)

Main lines, by angle (2θ = 10–80°):
12.8 deg, rel. 100
26.8 deg, rel. 54
30.8 deg, rel. 61
33.6 deg, rel. 85
35.1 deg, rel. 41
36.7 deg, rel. 60

Cell and atoms:
```
data_UTe5
_space_group_name_H-M_alt 'P n m a'
_space_group_IT_number 62
_cell_length_a 18.771
_cell_length_b 10.236
_cell_length_c 4.263
_cell_angle_alpha 90.00
_cell_angle_beta 90.00
_cell_angle_gamma 90.00
loop_
_space_group_symop_operation_xyz
'x,y,z'
'-x,-y,-z'
'-x+1/2,-y,z+1/2'
'x+1/2,y,-z+1/2'
'x+1/2,-y+1/2,-z+1/2'
'-x+1/2,y+1/2,z+1/2'
'-x,y+1/2,-z'
'x,-y+1/2,z'
loop_
_atom_site_label
_atom_site_fract_x
_atom_site_fract_y
_atom_site_fract_z
U1 0.090 0.250 0.107
Te1 0.000 0.000 0.000
Te2 0.034 0.750 0.383
Te3 0.160 0.063 0.607
Te4 0.247 0.750 0.831
```

=====

Entry 5:
Simulated powder XRD pattern
Compound: Zn2Te
Radiation: λ = 1.5418 Å (Cu Kα)
Structure: a DFT-relaxed cell (GGA-PBE, OQMD)

Main lines, by angle (2θ = 10–80°):
30.9 deg, rel. 68
31.1 deg, rel. 100
35.4 deg, rel. 84
35.9 deg, rel. 53
44.0 deg, rel. 64
47.9 deg, rel. 59

Cell and atoms:
```
data_Zn2Te
_space_group_name_H-M_alt 'P m m n'
_space_group_IT_number 59
_cell_length_a 5.066
_cell_length_b 11.032
_cell_length_c 4.601
_cell_angle_alpha 90.00
_cell_angle_beta 90.00
_cell_angle_gamma 90.00
loop_
_space_group_symop_operation_xyz
'x,y,z'
'-x,-y,-z'
'-x+1/2,-y+1/2,z'
'x+1/2,y+1/2,-z'
'x+1/2,-y,-z'
'-x+1/2,y,z'
'-x,y+1/2,-z'
'x,-y+1/2,z'
loop_
_atom_site_label
_atom_site_fract_x
_atom_site_fract_y
_atom_site_fract_z
Zn1 0.250 0.134 0.042
Zn2 0.250 0.250 0.535
Zn3 0.250 0.750 0.193
Te1 0.250 0.575 0.723
```

=====

Entry 6:
Simulated powder XRD pattern
Compound: Zn2Te
Radiation: λ = 1.5418 Å (Cu Kα)
Structure: a DFT-relaxed cell (GGA-PBE, OQMD)

Main lines, by angle (2θ = 10–80°):
28.6 deg, rel. 42
29.0 deg, rel. 31
32.8 deg, rel. 33
34.7 deg, rel. 100
43.9 deg, rel. 34
44.2 deg, rel. 36

Cell and atoms:
```
data_Zn2Te
_space_group_name_H-M_alt 'P 1 m 1'
_space_group_IT_number 6
_cell_length_a 8.275
_cell_length_b 5.172
_cell_length_c 12.811
_cell_angle_alpha 90.00
_cell_angle_beta 94.38
_cell_angle_gamma 90.00
loop_
_space_group_symop_operation_xyz
'x,y,z'
'x,-y,z'
loop_
_atom_site_label
_atom_site_fract_x
_atom_site_fract_y
_atom_site_fract_z
Zn1 0.000 0.000 0.000
Zn2 0.012 0.000 0.367
Zn3 0.031 0.000 0.588
Zn4 0.050 0.000 0.792
Zn5 0.100 0.500 0.870
Zn6 0.118 0.500 0.074
Zn7 0.137 0.500 0.295
Zn8 0.150 0.500 0.662
Zn9 0.282 0.000 0.471
Zn10 0.354 0.000 0.667
Zn11 0.417 0.500 0.768
Zn12 0.569 0.500 0.249
Zn13 0.581 0.000 0.412
Zn14 0.734 0.000 0.893
Zn15 0.796 0.500 0.995
Zn16 0.868 0.500 0.190
Te1 0.211 0.000 0.177
Te2 0.404 0.000 0.876
Te3 0.412 0.500 0.418
Te4 0.480 0.500 0.054
Te5 0.670 0.000 0.607
Te6 0.738 0.000 0.244
Te7 0.747 0.500 0.785
Te8 0.939 0.500 0.485
```

=====

Entry 7:
Simulated powder XRD pattern
Compound: Zr5Te6
Radiation: λ = 1.5418 Å (Cu Kα)
Structure: a DFT-relaxed cell (GGA-PBE, OQMD)

Main lines, by angle (2θ = 10–80°):
29.1 deg, rel. 100
34.1 deg, rel. 15
36.4 deg, rel. 79
46.2 deg, rel. 41
46.5 deg, rel. 19
55.5 deg, rel. 16

Cell and atoms:
```
data_Zr5Te6
_space_group_name_H-M_alt 'P -3 m 1'
_space_group_IT_number 164
_space_group_name_Hall '-P 3 2"'
_cell_length_a 11.7872
_cell_length_b 11.7872
_cell_length_c 7.1620
_cell_angle_alpha 90.00
_cell_angle_beta 90.00
_cell_angle_gamma 120.00
loop_
_atom_site_label
_atom_site_fract_x
_atom_site_fract_y
_atom_site_fract_z
Zr1 0.0000 0.0000 0.0000
Zr2 0.0000 0.2977 0.0000
Zr3 0.0000 0.3627 0.5000
Zr4 0.3333 0.6667 0.5115
Te1 0.1064 0.2129 0.7101
Te2 0.1179 0.5589 0.7917
Te3 0.2247 0.4493 0.2444
```

=====

Entry 8:
Simulated powder XRD pattern
Compound: ZrTe2
Radiation: λ = 1.5418 Å (Cu Kα)
Structure: a DFT-relaxed cell (GGA-PBE, OQMD)

Main lines, by angle (2θ = 10–80°):
12.5 deg, rel. 24
28.9 deg, rel. 100
32.2 deg, rel. 63
41.3 deg, rel. 30
45.7 deg, rel. 44
46.7 deg, rel. 25

Cell and atoms:
```
data_ZrTe2
_space_group_name_H-M_alt 'P 63 m c'
_space_group_IT_number 186
_space_group_name_Hall 'P 6c -2c'
_cell_length_a 3.9673
_cell_length_b 3.9673
_cell_length_c 14.1740
_cell_angle_alpha 90.00
_cell_angle_beta 90.00
_cell_angle_gamma 120.00
loop_
_atom_site_label
_atom_site_fract_x
_atom_site_fract_y
_atom_site_fract_z
Zr1 0.3333 0.6667 0.0000
Te1 0.0000 0.0000 0.3716
Te2 0.3333 0.6667 0.6276
```

=====

Entry 9:
Simulated powder XRD pattern
Compound: ZrTe2
Radiation: λ = 1.5418 Å (Cu Kα)
Structure: a DFT-relaxed cell (GGA-PBE, OQMD)

Main lines, by angle (2θ = 10–80°):
29.0 deg, rel. 100
36.7 deg, rel. 45
45.8 deg, rel. 29
47.2 deg, rel. 23
55.1 deg, rel. 16
72.1 deg, rel. 14

Cell and atoms:
```
data_ZrTe2
_space_group_name_H-M_alt 'P -3 m 1'
_space_group_IT_number 164
_space_group_name_Hall '-P 3 2"'
_cell_length_a 3.9633
_cell_length_b 3.9633
_cell_length_c 6.9822
_cell_angle_alpha 90.00
_cell_angle_beta 90.00
_cell_angle_gamma 120.00
loop_
_atom_site_label
_atom_site_fract_x
_atom_site_fract_y
_atom_site_fract_z
Zr1 0.0000 0.0000 0.0000
Te1 0.3333 0.6667 0.2595
```

=====

Entry 10:
Simulated powder XRD pattern
Compound: Th
Radiation: λ = 1.5418 Å (Cu Kα)
Structure: a DFT-relaxed cell (GGA-PBE, OQMD)

Main lines, by angle (2θ = 10–80°):
30.7 deg, rel. 100
35.6 deg, rel. 51
51.2 deg, rel. 37
60.9 deg, rel. 45
64.0 deg, rel. 13
75.4 deg, rel. 6

Cell and atoms:
```
data_Th
_space_group_name_H-M_alt 'F m -3 m'
_space_group_IT_number 225
_space_group_name_Hall '-F 4 2 3'
_cell_length_a 5.043
_cell_length_b 5.043
_cell_length_c 5.043
_cell_angle_alpha 90.00
_cell_angle_beta 90.00
_cell_angle_gamma 90.00
loop_
_atom_site_label
_atom_site_fract_x
_atom_site_fract_y
_atom_site_fract_z
Th1 0.000 0.000 0.000
```

=====

Entry 11:
Simulated powder XRD pattern
Compound: Th
Radiation: λ = 1.5418 Å (Cu Kα)
Structure: a DFT-relaxed cell (GGA-PBE, OQMD)

Main lines, by angle (2θ = 10–80°):
30.8 deg, rel. 100
35.6 deg, rel. 34
36.0 deg, rel. 17
51.5 deg, rel. 25
60.9 deg, rel. 30
61.5 deg, rel. 15

Cell and atoms:
```
data_Th
_space_group_name_H-M_alt 'I 4/m m m'
_space_group_IT_number 139
_space_group_name_Hall '-I 4 2'
_cell_length_a 3.570
_cell_length_b 3.570
_cell_length_c 4.990
_cell_angle_alpha 90.00
_cell_angle_beta 90.00
_cell_angle_gamma 90.00
loop_
_atom_site_label
_atom_site_fract_x
_atom_site_fract_y
_atom_site_fract_z
Th1 0.000 0.000 0.000
```

=====

Entry 12:
Simulated powder XRD pattern
Compound: Th
Radiation: λ = 1.5418 Å (Cu Kα)
Structure: a DFT-relaxed cell (GGA-PBE, OQMD)

Main lines, by angle (2θ = 10–80°):
30.7 deg, rel. 100
30.9 deg, rel. 33
35.7 deg, rel. 68
51.3 deg, rel. 25
51.5 deg, rel. 25
61.0 deg, rel. 45

Cell and atoms:
```
data_Th
_space_group_name_H-M_alt 'R -3 m'
_space_group_IT_number 166
_space_group_name_Hall '-R 3 2"'
_cell_length_a 3.5633
_cell_length_b 3.5633
_cell_length_c 8.6860
_cell_angle_alpha 90.00
_cell_angle_beta 90.00
_cell_angle_gamma 120.00
loop_
_atom_site_label
_atom_site_fract_x
_atom_site_fract_y
_atom_site_fract_z
Th1 0.0000 0.0000 0.0000
```